Record 1
Computed powder X-ray diffraction pattern of SrPu2Ir9 for Cu Kα (λ = 1.5418 Å), from the PBE geometry in Alexandria.
Peak positions follow from Bragg's law for the DFT cell and can differ from measured ones.

Structure:
Cell lengths 5.3500, 5.3500, 26.2523 Å; angles 90.00, 90.00, 120.00 degrees
Space group R-3m (No. 166, hexagonal axes)
One atom of each set of equivalent atoms:
Sr1 0.0000 0.0000 0.0000 [3 per cell]
Pu1 0.0000 0.0000 0.1396 [6 per cell]
Ir1 0.0000 0.0000 0.3330 [6 per cell]
Ir2 0.0000 0.0000 0.5000 [3 per cell]
Ir3 0.0023 0.5012 0.9166 [18 per cell]

Main lines, by angle (2θ from 10° to 90°):
2θ 33.48, I = 39; 2θ 39.03, I = 27; 2θ 39.48, I = 100; 2θ 41.30, I = 39; 2θ 42.64, I = 68; 2θ 63.92, I = 21; 2θ 70.39, I = 26; 2θ 85.00, I = 15

Record 2
Computed powder X-ray diffraction pattern of Mg4Zn8Cu for Cu Kα (λ = 1.5418 Å), from the PBE geometry in Alexandria.
Peak positions follow from Bragg's law for the DFT cell and can differ from measured ones.

Structure:
Cell lengths 11.947, 11.947, 3.175 Å; angles 90.00, 90.00, 90.00 degrees
Space group I4/m (No. 87)
One atom of each set of equivalent atoms:
Mg1 0.050 0.818 0.000 [8 per cell]
Zn1 0.013 0.371 0.500 [8 per cell]
Zn2 0.177 0.296 0.000 [8 per cell]
Cu1 0.000 0.000 0.500 [2 per cell]

Main lines, by angle (2θ from 10° to 90°):
2θ 10.47, I = 68; 2θ 23.55, I = 29; 2θ 36.18, I = 66; 2θ 39.30, I = 32; 2θ 42.22, I = 100; 2θ 44.21, I = 73; 2θ 47.63, I = 27; 2θ 75.80, I = 27

Record 3
Computed powder X-ray diffraction pattern of Sc6Zn23 for Cu Kα (λ = 1.5418 Å), from the PBE geometry in Alexandria.
Peak positions follow from Bragg's law for the DFT cell and can differ from measured ones.

Structure:
Cell lengths 12.350, 12.350, 12.350 Å; angles 90.00, 90.00, 90.00 degrees
Space group Fm-3m (No. 225)
One atom of each set of equivalent atoms:
Sc1 0.000 0.000 0.201 [24 per cell]
Zn1 0.000 0.000 0.500 [4 per cell]
Zn2 0.000 0.250 0.250 [24 per cell]
Zn3 0.122 0.122 0.378 [32 per cell]
Zn4 0.167 0.167 0.167 [32 per cell]

Main lines, by angle (2θ from 10° to 90°):
2θ 14.34, I = 19; 2θ 37.85, I = 42; 2θ 41.36, I = 100; 2θ 43.34, I = 28; 2θ 48.92, I = 18; 2θ 69.32, I = 12; 2θ 75.41, I = 16; 2θ 76.79, I = 16

Record 4
Computed powder X-ray diffraction pattern of Tb2Tm2Sc5 for Cu Kα (λ = 1.5418 Å), from the PBE geometry in Alexandria.
Peak positions follow from Bragg's law for the DFT cell and can differ from measured ones.

Structure:
Cell lengths 11.644, 8.290, 10.426 Å; angles 90.00, 90.00, 90.00 degrees
Space group Ima2 (No. 46)
One atom of each set of equivalent atoms:
Tb1 0.000 0.000 0.000 [4 per cell]
Tb2 0.250 0.105 0.122 [4 per cell]
Tm1 0.106 0.127 0.432 [8 per cell]
Sc1 0.100 0.693 0.745 [8 per cell]
Sc2 0.125 0.064 0.736 [8 per cell]
Sc3 0.250 0.711 0.005 [4 per cell]

Main lines, by angle (2θ from 10° to 90°):
2θ 13.11, I = 73; 2θ 17.01, I = 44; 2θ 27.84, I = 58; 2θ 30.68, I = 84; 2θ 32.76, I = 100; 2θ 33.55, I = 51; 2θ 33.75, I = 99; 2θ 34.55, I = 83

Record 5
Computed powder X-ray diffraction pattern of Tl2Hg16Pb for Cu Kα (λ = 1.5418 Å), from the PBE geometry in Alexandria.
Peak positions follow from Bragg's law for the DFT cell and can differ from measured ones.

Structure:
Cell lengths 10.0262, 10.0262, 18.6549 Å; angles 90.00, 90.00, 120.00 degrees
Space group R3m (No. 160, hexagonal axes)
One atom of each set of equivalent atoms:
Tl1 0.0000 0.0000 0.0000 [3 per cell]
Tl2 0.0000 0.0000 0.3050 [3 per cell]
Hg1 0.0000 0.0000 0.7699 [3 per cell]
Hg2 0.9997 0.3160 0.6718 [18 per cell]
Hg3 0.0582 0.5291 0.5377 [9 per cell]
Hg4 0.0798 0.5399 0.1476 [9 per cell]
Hg5 0.0997 0.5499 0.8138 [9 per cell]
Pb1 0.0000 0.0000 0.6007 [3 per cell]

Main lines, by angle (2θ from 10° to 90°):
2θ 28.08, I = 15; 2θ 28.71, I = 19; 2θ 30.90, I = 32; 2θ 31.62, I = 14; 2θ 33.93, I = 14; 2θ 34.17, I = 100; 2θ 54.95, I = 20; 2θ 66.30, I = 12

Record 6
Computed powder X-ray diffraction pattern of Th2GaCoHg for Cu Kα (λ = 1.5418 Å), from the PBE geometry in Alexandria.
Peak positions follow from Bragg's law for the DFT cell and can differ from measured ones.

Structure:
Cell lengths 8.049, 3.848, 8.528 Å; angles 90.00, 110.35, 90.00 degrees
Space group P2_1/m (No. 11)
One atom of each set of equivalent atoms:
Th1 0.128 0.250 0.397 [2 per cell]
Th2 0.223 0.250 0.016 [2 per cell]
Ga1 0.461 0.750 0.373 [2 per cell]
Co1 0.151 0.750 0.202 [2 per cell]
Hg1 0.324 0.750 0.744 [2 per cell]

Main lines, by angle (2θ from 10° to 90°):
2θ 25.69, I = 20; 2θ 29.48, I = 41; 2θ 31.58, I = 100; 2θ 33.25, I = 33; 2θ 34.92, I = 21; 2θ 41.03, I = 22; 2θ 46.33, I = 24; 2θ 47.24, I = 21